Computed powder diffraction line list of H8Pd5Rh for copper Kα, from the PBE geometry in Alexandria.
Peak positions follow from Bragg's law for the DFT cell and can differ from measured ones.

Top 10 peaks for 2θ = 5–70°, in order of rising 2θ:
2θ (°)  I_rel  h k l
31.88  10  2 0 0
32.32  31  1 1 2
37.67  100  2 1 1
38.43  44  1 0 3
39.68  48  2 0 2
57.08  11  3 1 2
60.66  18  2 3 1
62.27  10  1 0 5
66.63  10  4 0 0
67.65  22  2 2 4

Cell and atoms:
abc: 5.6146 5.6146 7.7327
angles: 90.00 90.00 90.00
Space group I-4 (No. 82)
One atom of each set of equivalent atoms:
1 H 0.0195 0.2391 0.3744 x8
2 H 0.0247 0.2756 0.8678 x8
3 Pd 0.0000 0.0000 0.0000 x2
4 Pd 0.0397 0.2504 0.6250 x8
5 Rh 0.0000 0.5000 0.2500 x2